# 1
Simulated X-ray diffraction stick pattern
Compound: NaNd3Ti2Sb2O14
Radiation: CuKα
Structure: a crystal structure in Alexandria, relaxed with GGA-PBE

Principal peaks in the range 2θ = 15–90°, sorted by position:
2θ = 16.95°, I = 29.6, (2 0 0); 2θ = 29.36°, I = 100.0, (2 2 0); 2θ = 29.58°, I = 47.9, (0 0 2); 2θ = 29.97°, I = 46.9, (4 0 -2); 2θ = 34.27°, I = 58.0, (4 0 0); 2θ = 49.00°, I = 30.6, (2 2 2); 2θ = 49.51°, I = 30.4, (6 2 -2); 2θ = 58.26°, I = 20.5, (4 0 2)

Cell and atoms:
```
data_NaNd3Ti2Sb2O14
_chemical_formula_sum 'Na2 Nd6 Ti4 Sb4 O28'
_symmetry_space_group_name_H-M 'C 1 2/m 1'
_symmetry_Int_Tables_number 12
_symmetry_space_group_name_Hall '-C 2y'
_cell_length_a 12.691
_cell_length_b 7.479
_cell_length_c 7.325
_cell_angle_alpha 90.00
_cell_angle_beta 124.47
_cell_angle_gamma 90.00
loop_
_atom_site_label
_atom_site_type_symbol
_atom_site_fract_x
_atom_site_fract_y
_atom_site_fract_z
Na1 Na 0.000 0.000 0.000
Nd1 Nd 0.000 0.000 0.500
Nd2 Nd 0.250 0.250 0.000
Ti1 Ti 0.000 0.500 0.000
Ti2 Ti 0.000 0.500 0.500
Sb1 Sb 0.250 0.250 0.500
O1 O 0.069 0.500 0.816
O2 O 0.123 0.301 0.575
O3 O 0.128 0.000 0.875
O4 O 0.129 0.310 0.180
O5 O 0.173 0.000 0.427
```


# 2
Simulated X-ray diffraction stick pattern
Compound: Na5Nd4Si4O17
Radiation: CuKα
Structure: a crystal structure in Alexandria, relaxed with GGA-PBE

Principal peaks in the range 2θ = 15–90°, sorted by position:
2θ = 17.53°, I = 100.0, (1 0 1); 2θ = 23.00°, I = 55.8, (2 1 1); 2θ = 23.46°, I = 51.8, (3 1 0); 2θ = 27.45°, I = 73.7, (3 0 1); 2θ = 31.31°, I = 86.1, (2 3 1); 2θ = 32.09°, I = 53.3, (0 0 2); 2θ = 34.78°, I = 69.1, (4 1 1); 2θ = 47.00°, I = 50.1, (2 4 2)

Cell and atoms:
```
data_Na5Nd4Si4O17
_chemical_formula_sum 'Na10 Nd8 Si8 O34'
_symmetry_space_group_name_H-M 'I -4'
_symmetry_Int_Tables_number 82
_symmetry_space_group_name_Hall 'I -4'
_cell_length_a 11.993
_cell_length_b 11.993
_cell_length_c 5.579
_cell_angle_alpha 90.00
_cell_angle_beta 90.00
_cell_angle_gamma 90.00
loop_
_atom_site_label
_atom_site_type_symbol
_atom_site_fract_x
_atom_site_fract_y
_atom_site_fract_z
Na1 Na 0.000 0.000 0.000
Na2 Na 0.090 0.605 0.482
Nd1 Nd 0.116 0.182 0.476
Si1 Si 0.102 0.752 0.988
O1 O 0.000 0.000 0.500
O2 O 0.035 0.782 0.739
O3 O 0.047 0.817 0.219
O4 O 0.106 0.616 0.032
O5 O 0.204 0.231 0.063
```